Cs2Sb2Pt3: calculated X-ray powder pattern (λ = 1.5418 Å (Cu Kα)), based on a DFT-relaxed cell (PBE, OQMD).
Kinematic intensities with the Lorentz-polarization factor, no thermal factor.

Structure:
```
7
Lattice="2.284 1.318 12.319 -2.284 1.318 12.319 0.000 -2.637 12.319" Properties=species:S:1:pos:R:3 pbc="T T T"
Cs 0.000 0.000 0.000
Cs 0.000 0.000 18.358
Sb 0.000 0.000 9.187
Sb 0.000 0.000 27.486
Pt 0.000 0.000 14.990
Pt 0.000 0.000 21.926
Pt 0.000 0.000 33.352
```

Most intense lines, 2θ = 10–80°, by angle:
d/Å  I/Imax
6.159  89
3.080  52
3.004  55
2.700  45
2.284  100
2.141  38
1.834  70
1.674  30